For LiErAsS4, a crystal structure in Alexandria, relaxed with PBE gives the computed X-ray diffraction stick pattern in this record (Cu Kα).
No peak broadening, texture or thermal motion is included.

Principal peaks in the range 5° ≤ 2θ ≤ 70°, sorted by position:
| 2θ/deg | Rel. int. |
| --- | --- |
| 14.4 | 60 |
| 16.7 | 40 |
| 23.5 | 64 |
| 27.2 | 100 |
| 27.9 | 59 |
| 48.1 | 63 |

Structure:
```
14
Lattice="-3.7957 3.8612 5.2937 3.7957 -3.8612 5.2937 3.7957 3.8612 -5.2937" Properties=species:S:1:pos:R:3 pbc="T T T"
Li -1.8978 1.9306 2.6469
Li 1.8978 1.9306 2.6469
Er 0.0000 0.0000 0.0000
Er 0.0000 3.8612 0.0000
As 3.7957 1.9306 -1.3991
As 0.0000 1.9306 6.6929
S 3.7957 -0.0010 2.5892
S 3.7957 3.8602 -2.5892
S 1.8688 1.9306 0.0848
S 1.9269 -1.9306 5.3785
S 1.8688 5.7917 -0.0848
S 1.9269 1.9306 5.2089
S 0.0000 0.0010 7.8829
S 0.0000 3.8621 2.7045
```